1.
Theoretical X-ray powder pattern of NpBP3 for Cu Kα X-rays, from the GGA-PBE geometry in Alexandria.
Kinematic intensities with the Lorentz-polarization factor, no thermal factor.

Crystal structure
```
NpBP3
1.0
-3.647 2.935 3.597
3.647 -2.935 3.597
3.647 2.935 -3.597
Np B P
2 2 6
direct
0.068 0.250 0.318 Np
0.932 0.750 0.682 Np
0.569 0.894 0.175 B
0.718 0.394 0.825 B
0.343 0.634 0.210 P
0.424 0.134 0.790 P
0.512 0.210 0.226 P
0.512 0.786 0.802 P
0.984 0.286 0.774 P
0.984 0.710 0.198 P
```

Most intense lines, 10° ≤ 2θ ≤ 90°, by intensity:
2θ (°), d_spacing, Rel. int.
19.52, 4.548, 100.0
31.44, 2.846, 65.8
35.03, 2.561, 60.9
35.24, 2.547, 52.3
24.40, 3.647, 42.2
47.97, 1.896, 33.5
39.40, 2.287, 29.4
66.28, 1.410, 28.2

=====

2.
Theoretical X-ray powder pattern of ThPa3N6 for Cu Kα X-rays, from the GGA-PBE geometry in Alexandria.
Kinematic intensities with the Lorentz-polarization factor, no thermal factor.

Crystal structure
```
ThPa3N6
1.0
3.910 -5.604 0.000
3.910 5.604 0.000
0.000 0.000 3.725
Th Pa N
1 3 6
direct
0.000 0.000 0.000 Th
0.000 0.500 0.500 Pa
0.500 0.000 0.500 Pa
0.500 0.500 0.000 Pa
0.148 0.852 0.500 N
0.163 0.419 0.000 N
0.419 0.163 0.000 N
0.581 0.837 0.000 N
0.837 0.581 0.000 N
0.852 0.148 0.500 N
```

Most intense lines, 10° ≤ 2θ ≤ 90°, by intensity:
2θ (°), d_spacing, Rel. int.
27.82, 3.207, 100.0
28.78, 3.102, 94.4
46.75, 1.943, 58.2
33.22, 2.697, 54.1
55.56, 1.654, 31.3
31.94, 2.802, 29.7
57.20, 1.611, 28.2
74.77, 1.270, 19.3

=====

3.
Theoretical X-ray powder pattern of Ac3ErTl6 for Cu Kα X-rays, from the GGA-PBE geometry in Alexandria.
Kinematic intensities with the Lorentz-polarization factor, no thermal factor.

Crystal structure
```
Ac3ErTl6
1.0
0.000 5.905 5.905
5.905 0.000 5.905
5.905 5.905 0.000
Ac Er Tl
3 1 6
direct
0.000 0.000 0.000 Ac
0.250 0.250 0.250 Ac
0.750 0.750 0.750 Ac
0.500 0.500 0.500 Er
0.260 0.260 0.740 Tl
0.260 0.740 0.260 Tl
0.260 0.740 0.740 Tl
0.740 0.260 0.260 Tl
0.740 0.260 0.740 Tl
0.740 0.740 0.260 Tl
```

Most intense lines, 10° ≤ 2θ ≤ 90°, by intensity:
2θ (°), d_spacing, Rel. int.
30.27, 2.952, 100.0
43.34, 2.088, 75.7
26.14, 3.409, 73.5
51.32, 1.780, 34.8
71.45, 1.320, 34.1
53.78, 1.705, 26.8
79.53, 1.205, 25.4
21.28, 4.175, 22.0